No. 1
Starting from a crystal structure in Alexandria, relaxed with GGA-PBE, the powder X-ray diffraction pattern of Rb2AcGaO4 was calculated for Cu Kα, 1.54184 Å.
Kinematic intensities with the Lorentz-polarization factor, no thermal factor.

Top 12 peaks for 2θ = 10–90°, sorted by position:
5.103 Å, intensity 20
4.409 Å, intensity 7
3.125 Å, intensity 100
2.661 Å, intensity 7
2.205 Å, intensity 14
1.808 Å, intensity 16
1.802 Å, intensity 28
1.564 Å, intensity 9
1.395 Å, intensity 13
1.184 Å, intensity 7
1.181 Å, intensity 7
1.179 Å, intensity 7

Crystal structure
abc: 6.2359 6.2359 8.8781
angles: 90.00 90.00 90.00
Fractional coordinates of all 16 atoms:
Rb: 0.0000 0.0000 0.0000
Rb: 0.0000 0.5000 0.2500
Rb: 0.5000 0.0000 0.7500
Rb: 0.5000 0.5000 0.5000
Ac: 0.0000 0.0000 0.5000
Ac: 0.5000 0.5000 0.0000
Ga: 0.0000 0.5000 0.7500
Ga: 0.5000 0.0000 0.2500
O: 0.1478 0.7121 0.6383
O: 0.2121 0.3522 0.8617
O: 0.2879 0.1478 0.3617
O: 0.3522 0.7879 0.1383
O: 0.6478 0.2121 0.1383
O: 0.7121 0.8522 0.3617
O: 0.7879 0.6478 0.8617
O: 0.8522 0.2879 0.6383



No. 2
Starting from a crystal structure in Alexandria, relaxed with GGA-PBE, the powder X-ray diffraction pattern of Ac3SmGa2O9 was calculated for Cu Kα, 1.54184 Å.
Kinematic intensities with the Lorentz-polarization factor, no thermal factor.

Top 12 peaks for 2θ = 10–90°, sorted by position:
4.169 Å, intensity 32
3.015 Å, intensity 100
2.886 Å, intensity 96
2.373 Å, intensity 19
2.250 Å, intensity 14
2.085 Å, intensity 52
1.690 Å, intensity 38
1.666 Å, intensity 20
1.581 Å, intensity 20
1.443 Å, intensity 17
1.301 Å, intensity 17
1.091 Å, intensity 11

Crystal structure
abc: 5.7714 5.7714 7.5595
angles: 90.00 90.00 120.00
Fractional coordinates of all 15 atoms:
Ac: 0.0000 0.0000 0.0000
Ac: 0.3333 0.6667 0.7349
Ac: 0.6667 0.3333 0.2651
Sm: 0.0000 0.0000 0.5000
Ga: 0.3333 0.6667 0.1742
Ga: 0.6667 0.3333 0.8258
O: 0.0000 0.5000 0.0000
O: 0.1679 0.3357 0.2987
O: 0.1679 0.8321 0.2987
O: 0.3357 0.1679 0.7013
O: 0.5000 0.0000 0.0000
O: 0.5000 0.5000 0.0000
O: 0.6643 0.8321 0.2987
O: 0.8321 0.1679 0.7013
O: 0.8321 0.6643 0.7013



No. 3
Starting from a crystal structure in Alexandria, relaxed with GGA-PBE, the powder X-ray diffraction pattern of Ac3TbGa2O9 was calculated for Cu Kα, 1.54184 Å.
Kinematic intensities with the Lorentz-polarization factor, no thermal factor.

Top 12 peaks for 2θ = 10–90°, sorted by position:
4.129 Å, intensity 30
2.962 Å, intensity 100
2.880 Å, intensity 96
2.362 Å, intensity 18
2.065 Å, intensity 53
1.727 Å, intensity 10
1.678 Å, intensity 39
1.663 Å, intensity 20
1.551 Å, intensity 14
1.440 Å, intensity 17
1.295 Å, intensity 17
1.093 Å, intensity 11

Crystal structure
abc: 5.7595 5.7595 7.3614
angles: 90.00 90.00 120.00
Fractional coordinates of all 15 atoms:
Ac: 0.0000 0.0000 0.0000
Ac: 0.3333 0.6667 0.7182
Ac: 0.6667 0.3333 0.2818
Tb: 0.0000 0.0000 0.5000
Ga: 0.3333 0.6667 0.1724
Ga: 0.6667 0.3333 0.8276
O: 0.0000 0.5000 0.0000
O: 0.1691 0.3382 0.3069
O: 0.1691 0.8309 0.3069
O: 0.3382 0.1691 0.6931
O: 0.5000 0.0000 0.0000
O: 0.5000 0.5000 0.0000
O: 0.6618 0.8309 0.3069
O: 0.8309 0.1691 0.6931
O: 0.8309 0.6618 0.6931



No. 4
Starting from a crystal structure in Alexandria, relaxed with GGA-PBE, the powder X-ray diffraction pattern of AcTl2GaO6 was calculated for Cu Kα, 1.54184 Å.
Kinematic intensities with the Lorentz-polarization factor, no thermal factor.

Top 12 peaks for 2θ = 10–90°, sorted by position:
4.765 Å, intensity 16
4.197 Å, intensity 15
3.047 Å, intensity 100
2.894 Å, intensity 93
2.099 Å, intensity 39
1.917 Å, intensity 19
1.792 Å, intensity 15
1.699 Å, intensity 40
1.671 Å, intensity 25
1.468 Å, intensity 13
1.447 Å, intensity 12
1.307 Å, intensity 16

Crystal structure
abc: 6.1111 6.1111 6.1111
angles: 56.54 56.54 56.54
Fractional coordinates of all 10 atoms:
Ac: 0.0000 0.0000 0.0000
Tl: 0.2649 0.2649 0.2649
Tl: 0.7785 0.7785 0.7785
Ga: 0.4790 0.4790 0.4790
O: 0.1116 0.6453 0.4170
O: 0.2226 0.5727 0.8421
O: 0.4170 0.1116 0.6453
O: 0.5727 0.8421 0.2226
O: 0.6453 0.4170 0.1116
O: 0.8421 0.2226 0.5727